1.
Calculated X-ray powder pattern
Compound: LiSc2Cl6
Radiation: Cu Ka
Structure: a structure optimized by DFT (PBE)

Crystal structure
```
data_LiSc2Cl6
_space_group_name_H-M_alt 'R 3'
_space_group_IT_number 146
_space_group_name_Hall 'R 3'
_cell_length_a 6.4982
_cell_length_b 6.4982
_cell_length_c 17.6549
_cell_angle_alpha 90.00
_cell_angle_beta 90.00
_cell_angle_gamma 120.00
loop_
_atom_site_label
_atom_site_fract_x
_atom_site_fract_y
_atom_site_fract_z
Li1 0.0000 0.0000 0.0000
Sc1 0.0000 0.0000 0.4967
Sc2 0.0000 0.0000 0.6698
Cl1 0.9999 0.3348 0.7480
Cl2 0.0139 0.6494 0.2506
```

Largest 12 diffraction maxima, sorted by position, 2θ = 10–80°:
- 2θ = 16.5°, I 51, (1 0 1)
- 2θ = 18.7°, I 17, (0 1 2)
- 2θ = 29.9°, I 8, (0 1 5)
- 2θ = 30.4°, I 8, (0 0 6)
- 2θ = 31.5°, I 100, (2 -1 3)
- 2θ = 41.4°, I 51, (2 -1 6)
- 2θ = 42.8°, I 6, (2 1 1)
- 2θ = 48.5°, I 37, (3 0 0)
- 2θ = 54.7°, I 17, (1 1 9)
- 2θ = 59.0°, I 12, (2 2 3)
- 2θ = 65.6°, I 11, (2 2 6)
- 2θ = 79.8°, I 9, (5 -4 3)

=====

2.
Calculated X-ray powder pattern
Compound: Li2SeCl
Radiation: Cu Ka
Structure: a structure optimized by DFT (PBE)

Crystal structure
```
data_Li2SeCl
_space_group_name_H-M_alt 'C m m m'
_space_group_IT_number 65
_space_group_name_Hall '-C 2 2'
_cell_length_a 3.7598
_cell_length_b 5.3392
_cell_length_c 7.1936
_cell_angle_alpha 90.00
_cell_angle_beta 90.00
_cell_angle_gamma 90.00
loop_
_atom_site_label
_atom_site_fract_x
_atom_site_fract_y
_atom_site_fract_z
Li1 0.0000 0.0000 0.2268
Se1 0.0000 0.5000 0.5000
Cl1 0.0000 0.5000 0.0000
```

Largest 12 diffraction maxima, sorted by position, 2θ = 10–80°:
- 2θ = 12.3°, I 40, (0 0 1)
- 2θ = 24.8°, I 61, (0 0 2)
- 2θ = 29.0°, I 79, (1 1 0)
- 2θ = 31.7°, I 22, (1 1 1)
- 2θ = 33.6°, I 38, (0 2 0)
- 2θ = 38.5°, I 100, (1 1 2)
- 2θ = 42.2°, I 27, (0 2 2)
- 2θ = 48.4°, I 13, (2 0 0)
- 2θ = 59.6°, I 19, (1 1 4)
- 2θ = 60.2°, I 13, (2 2 0)
- 2θ = 63.3°, I 22, (1 3 2)
- 2θ = 66.1°, I 13, (2 2 2)

=====

3.
Calculated X-ray powder pattern
Compound: LiSeCl3
Radiation: Cu Ka
Structure: a structure optimized by DFT (PBE)

Crystal structure
```
data_LiSeCl3
_space_group_name_H-M_alt 'P 1'
_space_group_IT_number 1
_cell_length_a 4.2034
_cell_length_b 8.1079
_cell_length_c 8.1385
_cell_angle_alpha 84.55
_cell_angle_beta 79.84
_cell_angle_gamma 80.49
loop_
_space_group_symop_operation_xyz
'x,y,z'
loop_
_atom_site_label
_atom_site_fract_x
_atom_site_fract_y
_atom_site_fract_z
Li1 0.0000 0.0000 0.0000
Li2 0.2917 0.4940 0.4990
Se1 0.1442 0.0484 0.4469
Se2 0.1468 0.4446 0.0517
Cl1 0.4223 0.0981 0.1000
Cl2 0.4301 0.7881 0.4560
Cl3 0.4336 0.4548 0.7905
Cl4 0.8573 0.0371 0.7078
Cl5 0.8615 0.7050 0.0416
Cl6 0.8699 0.3954 0.3987
```

Largest 12 diffraction maxima, sorted by position, 2θ = 10–80°:
- 2θ = 11.1°, I 14, (0 0 1)
- 2θ = 15.2°, I 31, (0 1 1)
- 2θ = 16.2°, I 23, (0 1 -1)
- 2θ = 21.7°, I 12, (1 0 0)
- 2θ = 22.3°, I 41, (0 2 0)
- 2θ = 23.5°, I 100, (1 1 1)
- 2θ = 33.7°, I 55, (0 0 3)
- 2θ = 34.9°, I 24, (1 -2 1)
- 2θ = 35.1°, I 24, (1 1 -2)
- 2θ = 46.1°, I 12, (0 4 1)
- 2θ = 47.1°, I 11, (1 1 4)
- 2θ = 48.0°, I 12, (2 2 2)

=====

4.
Calculated X-ray powder pattern
Compound: LiSmTl2Cl6
Radiation: Cu Ka
Structure: a structure optimized by DFT (PBE)

Crystal structure
```
data_LiSmTl2Cl6
_space_group_name_H-M_alt 'P 1 21/c 1'
_space_group_IT_number 14
_cell_length_a 7.3153
_cell_length_b 7.5006
_cell_length_c 12.6949
_cell_angle_alpha 90.00
_cell_angle_beta 124.94
_cell_angle_gamma 90.00
loop_
_space_group_symop_operation_xyz
'x,y,z'
'-x,-y,-z'
'-x,y+1/2,-z+1/2'
'x,-y+1/2,z+1/2'
loop_
_atom_site_label
_atom_site_fract_x
_atom_site_fract_y
_atom_site_fract_z
Li1 0.0000 0.0000 0.0000
Sm1 0.5000 0.0000 0.5000
Tl1 0.2352 0.0555 0.7480
Cl1 0.1662 0.2102 0.4626
Cl2 0.2539 0.7061 0.4632
Cl3 0.3179 0.0137 0.2449
```

Largest 12 diffraction maxima, sorted by position, 2θ = 10–80°:
- 2θ = 14.6°, I 17, (0 1 1)
- 2θ = 23.7°, I 21, (0 2 0)
- 2θ = 24.1°, I 100, (1 1 -3)
- 2θ = 24.3°, I 26, (2 0 -2)
- 2θ = 28.4°, I 16, (2 1 -1)
- 2θ = 29.4°, I 17, (0 2 2)
- 2θ = 34.2°, I 37, (2 2 -2)
- 2θ = 34.5°, I 25, (0 0 4)
- 2θ = 39.0°, I 19, (1 3 -2)
- 2θ = 42.6°, I 23, (2 0 2)
- 2θ = 42.8°, I 23, (3 1 -5)
- 2θ = 49.3°, I 17, (2 2 2)

=====

5.
Calculated X-ray powder pattern
Compound: LiSnCl3
Radiation: Cu Ka
Structure: a structure optimized by DFT (PBE)

Crystal structure
```
data_LiSnCl3
_space_group_name_H-M_alt 'R 3 m'
_space_group_IT_number 160
_space_group_name_Hall 'R 3 -2"'
_cell_length_a 7.1270
_cell_length_b 7.1270
_cell_length_c 9.4434
_cell_angle_alpha 90.00
_cell_angle_beta 90.00
_cell_angle_gamma 120.00
loop_
_atom_site_label
_atom_site_fract_x
_atom_site_fract_y
_atom_site_fract_z
Li1 0.0000 0.0000 0.0000
Sn1 0.0000 0.0000 0.6328
Cl1 0.0102 0.5051 0.4736
```

Largest 12 diffraction maxima, sorted by position, 2θ = 10–80°:
- 2θ = 17.2°, I 100, (1 0 1)
- 2θ = 23.7°, I 74, (0 1 2)
- 2θ = 25.0°, I 28, (1 1 0)
- 2θ = 30.5°, I 84, (0 2 1)
- 2θ = 34.7°, I 25, (2 0 2)
- 2θ = 38.1°, I 61, (1 1 3)
- 2θ = 39.8°, I 20, (2 1 1)
- 2θ = 40.9°, I 19, (1 0 4)
- 2θ = 43.3°, I 35, (1 2 2)
- 2θ = 51.3°, I 26, (2 2 0)
- 2θ = 53.2°, I 23, (3 0 3)
- 2θ = 57.2°, I 25, (2 0 5)

=====

6.
Calculated X-ray powder pattern
Compound: Li3Sn2Cl7
Radiation: Cu Ka
Structure: a structure optimized by DFT (PBE)

Crystal structure
```
data_Li3Sn2Cl7
_space_group_name_H-M_alt 'C m c 21'
_space_group_IT_number 36
_cell_length_a 24.5820
_cell_length_b 6.9884
_cell_length_c 6.9635
_cell_angle_alpha 90.00
_cell_angle_beta 90.00
_cell_angle_gamma 90.00
loop_
_space_group_symop_operation_xyz
'x,y,z'
'-x,-y,z+1/2'
'-x,y,z'
'x,-y,z+1/2'
'x+1/2,y+1/2,z'
'-x+1/2,-y+1/2,z+1/2'
'-x+1/2,y+1/2,z'
'x+1/2,-y+1/2,z+1/2'
loop_
_atom_site_label
_atom_site_fract_x
_atom_site_fract_y
_atom_site_fract_z
Li1 0.0000 0.2292 0.0000
Li2 0.2121 0.3183 0.9938
Sn1 0.1024 0.2280 0.5209
Cl1 0.0000 0.0681 0.3073
Cl2 0.0753 0.4198 0.8838
Cl3 0.1539 0.1225 0.1947
Cl4 0.2065 0.3597 0.6280
```

Largest 12 diffraction maxima, sorted by position, 2θ = 10–80°:
- 2θ = 14.4°, I 64, (4 0 0)
- 2θ = 18.3°, I 100, (1 1 1)
- 2θ = 21.0°, I 24, (3 1 1)
- 2θ = 25.6°, I 92, (0 2 0)
- 2θ = 29.4°, I 42, (4 2 0)
- 2θ = 33.8°, I 39, (6 0 2)
- 2θ = 36.4°, I 27, (0 2 2)
- 2θ = 37.6°, I 41, (9 1 1)
- 2θ = 41.1°, I 26, (1 1 3)
- 2θ = 45.0°, I 33, (5 3 1)
- 2θ = 45.1°, I 58, (5 1 3)
- 2θ = 71.7°, I 26, (5 1 5)

=====

7.
Calculated X-ray powder pattern
Compound: LiSn2Cl8
Radiation: Cu Ka
Structure: a structure optimized by DFT (PBE)

Crystal structure
```
data_LiSn2Cl8
_space_group_name_H-M_alt 'P 1'
_space_group_IT_number 1
_cell_length_a 7.3489
_cell_length_b 7.4622
_cell_length_c 7.8892
_cell_angle_alpha 87.38
_cell_angle_beta 63.00
_cell_angle_gamma 88.92
loop_
_space_group_symop_operation_xyz
'x,y,z'
loop_
_atom_site_label
_atom_site_fract_x
_atom_site_fract_y
_atom_site_fract_z
Li1 0.0000 0.0000 0.0000
Sn1 0.2881 0.9540 0.3744
Sn2 0.4879 0.3504 0.7190
Cl1 0.0494 0.8557 0.7179
Cl2 0.1024 0.8323 0.2071
Cl3 0.1322 0.3284 0.9111
Cl4 0.2026 0.2677 0.3779
Cl5 0.5681 0.5554 0.4666
Cl6 0.5940 0.0654 0.6071
Cl7 0.6362 0.4438 0.9016
Cl8 0.6493 0.9181 0.1003
```

Largest 12 diffraction maxima, sorted by position, 2θ = 10–80°:
- 2θ = 13.5°, I 100, (1 0 0)
- 2θ = 17.0°, I 50, (0 1 1)
- 2θ = 17.7°, I 100, (0 1 -1)
- 2θ = 17.8°, I 94, (1 1 1)
- 2θ = 18.0°, I 77, (1 -1 0)
- 2θ = 18.5°, I 57, (1 -1 1)
- 2θ = 22.4°, I 59, (1 0 -1)
- 2θ = 23.9°, I 64, (0 2 0)
- 2θ = 27.5°, I 72, (2 0 2)
- 2θ = 29.7°, I 41, (2 1 2)
- 2θ = 36.5°, I 39, (1 1 -2)
- 2θ = 43.2°, I 42, (3 1 0)

=====

8.
Calculated X-ray powder pattern
Compound: LiSnCl3
Radiation: Cu Ka
Structure: a structure optimized by DFT (PBE)

Crystal structure
```
data_LiSnCl3
_space_group_name_H-M_alt 'P n m a'
_space_group_IT_number 62
_cell_length_a 7.4455
_cell_length_b 9.8359
_cell_length_c 6.9147
_cell_angle_alpha 90.00
_cell_angle_beta 90.00
_cell_angle_gamma 90.00
loop_
_space_group_symop_operation_xyz
'x,y,z'
'-x,-y,-z'
'-x+1/2,-y,z+1/2'
'x+1/2,y,-z+1/2'
'x+1/2,-y+1/2,-z+1/2'
'-x+1/2,y+1/2,z+1/2'
'-x,y+1/2,-z'
'x,-y+1/2,z'
loop_
_atom_site_label
_atom_site_fract_x
_atom_site_fract_y
_atom_site_fract_z
Li1 0.0000 0.0000 0.0000
Sn1 0.1467 0.2500 0.4390
Cl1 0.0346 0.7500 0.1014
Cl2 0.2122 0.5606 0.7167
```

Largest 12 diffraction maxima, sorted by position, 2θ = 10–80°:
- 2θ = 15.7°, I 26, (0 1 1)
- 2θ = 18.0°, I 36, (0 2 0)
- 2θ = 19.7°, I 100, (1 1 1)
- 2θ = 25.6°, I 25, (2 1 0)
- 2θ = 29.9°, I 34, (1 1 2)
- 2θ = 31.6°, I 38, (0 2 2)
- 2θ = 32.5°, I 43, (1 3 1)
- 2θ = 33.9°, I 21, (1 2 2)
- 2θ = 36.5°, I 41, (0 4 0)
- 2θ = 36.6°, I 22, (2 1 2)
- 2θ = 38.5°, I 23, (3 0 1)
- 2θ = 42.9°, I 22, (3 2 1)

=====

9.
Calculated X-ray powder pattern
Compound: LiSnCl3
Radiation: Cu Ka
Structure: a structure optimized by DFT (PBE)

Crystal structure
```
data_LiSnCl3
_space_group_name_H-M_alt 'C m c 21'
_space_group_IT_number 36
_cell_length_a 4.3750
_cell_length_b 17.3095
_cell_length_c 7.0477
_cell_angle_alpha 90.00
_cell_angle_beta 90.00
_cell_angle_gamma 90.00
loop_
_space_group_symop_operation_xyz
'x,y,z'
'-x,-y,z+1/2'
'-x,y,z'
'x,-y,z+1/2'
'x+1/2,y+1/2,z'
'-x+1/2,-y+1/2,z+1/2'
'-x+1/2,y+1/2,z'
'x+1/2,-y+1/2,z+1/2'
loop_
_atom_site_label
_atom_site_fract_x
_atom_site_fract_y
_atom_site_fract_z
Li1 0.0000 0.1645 0.0000
Sn1 0.0000 0.4322 0.9825
Cl1 0.0000 0.0492 0.2230
Cl2 0.0000 0.2938 0.8575
Cl3 0.0000 0.3767 0.3523
```

Largest 12 diffraction maxima, sorted by position, 2θ = 10–80°:
- 2θ = 10.2°, I 95, (0 2 0)
- 2θ = 16.2°, I 64, (0 2 1)
- 2θ = 20.9°, I 80, (1 1 0)
- 2θ = 24.1°, I 46, (0 4 1)
- 2θ = 24.5°, I 37, (1 1 1)
- 2θ = 28.6°, I 71, (1 3 1)
- 2θ = 33.0°, I 100, (1 1 2)
- 2θ = 33.6°, I 43, (0 6 1)
- 2θ = 35.4°, I 54, (1 5 1)
- 2θ = 41.3°, I 31, (2 0 0)
- 2θ = 43.8°, I 29, (0 4 3)
- 2θ = 46.6°, I 36, (1 3 3)

=====

10.
Calculated X-ray powder pattern
Compound: LiTl2SnCl6
Radiation: Cu Ka
Structure: a structure optimized by DFT (PBE)

Crystal structure
```
data_LiTl2SnCl6
_space_group_name_H-M_alt 'R -3 m'
_space_group_IT_number 166
_space_group_name_Hall '-R 3 2"'
_cell_length_a 7.4240
_cell_length_b 7.4240
_cell_length_c 38.2367
_cell_angle_alpha 90.00
_cell_angle_beta 90.00
_cell_angle_gamma 120.00
loop_
_atom_site_label
_atom_site_fract_x
_atom_site_fract_y
_atom_site_fract_z
Li1 0.0000 0.0000 0.0862
Tl1 0.0000 0.0000 0.1862
Tl2 0.0000 0.0000 0.3921
Sn1 0.0000 0.0000 0.0000
Sn2 0.0000 0.0000 0.5000
Cl1 0.0132 0.5066 0.7888
Cl2 0.0248 0.5124 0.6281
```

Largest 12 diffraction maxima, sorted by position, 2θ = 10–80°:
- 2θ = 18.0°, I 94, (0 1 5)
- 2θ = 24.0°, I 100, (1 1 0)
- 2θ = 27.1°, I 58, (1 0 10)
- 2θ = 27.8°, I 19, (1 1 6)
- 2θ = 30.2°, I 81, (2 0 5)
- 2θ = 32.0°, I 41, (1 1 9)
- 2θ = 36.5°, I 40, (0 2 10)
- 2θ = 38.9°, I 26, (1 2 5)
- 2θ = 42.2°, I 23, (3 0 0)
- 2θ = 44.2°, I 36, (2 1 10)
- 2θ = 47.4°, I 24, (1 0 19)
- 2θ = 49.1°, I 37, (2 2 0)

=====

11.
Calculated X-ray powder pattern
Compound: SrLi2Cl4
Radiation: Cu Ka
Structure: a structure optimized by DFT (PBE)

Crystal structure
```
data_SrLi2Cl4
_space_group_name_H-M_alt 'I -4 2 d'
_space_group_IT_number 122
_space_group_name_Hall 'I -4 2bw'
_cell_length_a 9.3267
_cell_length_b 9.3267
_cell_length_c 7.7739
_cell_angle_alpha 90.00
_cell_angle_beta 90.00
_cell_angle_gamma 90.00
loop_
_atom_site_label
_atom_site_fract_x
_atom_site_fract_y
_atom_site_fract_z
Sr1 0.0000 0.0000 0.0000
Li1 0.0706 0.7500 0.6250
Cl1 0.0302 0.1982 0.3407
```

Largest 12 diffraction maxima, sorted by position, 2θ = 10–80°:
- 2θ = 14.8°, I 80, (1 0 1)
- 2θ = 19.0°, I 88, (2 0 0)
- 2θ = 24.2°, I 30, (2 1 1)
- 2θ = 26.6°, I 46, (1 1 2)
- 2θ = 29.9°, I 70, (2 0 2)
- 2θ = 31.0°, I 100, (3 0 1)
- 2θ = 36.0°, I 61, (1 0 3)
- 2θ = 36.6°, I 83, (3 2 1)
- 2θ = 38.3°, I 74, (3 1 2)
- 2θ = 38.6°, I 40, (4 0 0)
- 2θ = 47.5°, I 31, (3 3 2)
- 2θ = 50.3°, I 36, (4 3 1)

=====

12.
Calculated X-ray powder pattern
Compound: SrLiCl3
Radiation: Cu Ka
Structure: a structure optimized by DFT (PBE)

Crystal structure
```
data_SrLiCl3
_space_group_name_H-M_alt 'A m a 2'
_space_group_IT_number 40
_cell_length_a 4.5487
_cell_length_b 19.2006
_cell_length_c 6.5598
_cell_angle_alpha 90.00
_cell_angle_beta 90.00
_cell_angle_gamma 90.00
loop_
_space_group_symop_operation_xyz
'x,y,z'
'-x,-y,z'
'-x+1/2,y,z'
'x+1/2,-y,z'
'x,y+1/2,z+1/2'
'-x,-y+1/2,z+1/2'
'-x+1/2,y+1/2,z+1/2'
'x+1/2,-y+1/2,z+1/2'
loop_
_atom_site_label
_atom_site_fract_x
_atom_site_fract_y
_atom_site_fract_z
Sr1 0.2500 0.1593 0.0000
Li1 0.2500 0.4432 0.9753
Cl1 0.2500 0.0709 0.3689
Cl2 0.2500 0.2728 0.7068
Cl3 0.2500 0.4130 0.3247
```

Largest 12 diffraction maxima, sorted by position, 2θ = 10–80°:
- 2θ = 14.3°, I 24, (0 1 1)
- 2θ = 19.4°, I 100, (0 3 1)
- 2θ = 21.6°, I 28, (1 2 0)
- 2θ = 24.3°, I 24, (1 1 1)
- 2θ = 27.6°, I 69, (1 3 1)
- 2θ = 33.5°, I 62, (1 5 1)
- 2θ = 35.0°, I 45, (1 2 2)
- 2θ = 39.3°, I 28, (0 6 2)
- 2θ = 39.6°, I 30, (2 0 0)
- 2θ = 42.6°, I 23, (1 8 0)
- 2θ = 44.5°, I 22, (2 3 1)
- 2θ = 46.3°, I 34, (1 1 3)